Simulated PXRD pattern of Pu6NbSn10 for CuKα, from a structure optimized by DFT (GGA-PBE).

Peak list (6 most intense, 2θ = 15–90°, in order of rising 2θ)
2θ = 24.3°, 3.663 Å, I = 33.1, hkl 2 0 -1
2θ = 29.1°, 3.071 Å, I = 19.9, hkl 0 0 2
2θ = 33.4°, 2.686 Å, I = 100.0, hkl 1 5 -1
2θ = 34.0°, 2.634 Å, I = 56.3, hkl 3 3 0
2θ = 35.2°, 2.548 Å, I = 81.5, hkl 1 3 2
2θ = 43.9°, 2.064 Å, I = 30.4, hkl 4 2 1

Crystal structure
```
data_Pu6NbSn10
_chemical_formula_sum 'Pu12 Nb2 Sn20'
_space_group_name_H-M_alt 'C 1 2/m 1'
_space_group_IT_number 12
_cell_length_a 9.115
_cell_length_b 15.823
_cell_length_c 6.142
_cell_angle_alpha 90.00
_cell_angle_beta 90.01
_cell_angle_gamma 90.00
loop_
_space_group_symop_operation_xyz
'x,y,z'
'-x,-y,-z'
'-x,y,-z'
'x,-y,z'
'x+1/2,y+1/2,z'
'-x+1/2,-y+1/2,-z'
'-x+1/2,y+1/2,-z'
'x+1/2,-y+1/2,z'
loop_
_atom_site_label
_atom_site_type_symbol
_atom_site_fract_x
_atom_site_fract_y
_atom_site_fract_z
_atom_site_occupancy
Pu1 Pu 0.108 0.000 0.229 1
Pu2 Pu 0.196 0.304 0.229 1
Nb1 Nb 0.000 0.500 0.000 1
Sn1 Sn 0.000 0.167 0.000 1
Sn2 Sn 0.000 0.167 0.500 1
Sn3 Sn 0.122 0.378 0.707 1
Sn4 Sn 0.244 0.500 0.293 1
```

=====

Simulated PXRD pattern of Pu2TiNb for CuKα, from a structure optimized by DFT (GGA-PBE).

Peak list (6 most intense, 2θ = 15–90°, in order of rising 2θ)
2θ = 25.6°, 3.475 Å, I = 34.0, hkl 2 0 0
2θ = 36.6°, 2.457 Å, I = 100.0, hkl 2 2 0
2θ = 52.7°, 1.737 Å, I = 17.7, hkl 4 0 0
2θ = 59.5°, 1.554 Å, I = 15.1, hkl 4 2 0
2θ = 65.8°, 1.419 Å, I = 36.5, hkl 4 2 2
2θ = 89.1°, 1.099 Å, I = 16.9, hkl 6 2 0

Crystal structure
```
data_Pu2TiNb
_chemical_formula_sum 'Pu8 Ti4 Nb4'
_space_group_name_H-M_alt 'F m -3 m'
_space_group_IT_number 225
_space_group_name_Hall '-F 4 2 3'
_cell_length_a 6.949
_cell_length_b 6.949
_cell_length_c 6.949
_cell_angle_alpha 90.00
_cell_angle_beta 90.00
_cell_angle_gamma 90.00
loop_
_atom_site_label
_atom_site_type_symbol
_atom_site_fract_x
_atom_site_fract_y
_atom_site_fract_z
_atom_site_occupancy
Pu1 Pu 0.250 0.250 0.250 1
Ti1 Ti 0.000 0.000 0.000 1
Nb1 Nb 0.000 0.000 0.500 1
```

=====

Simulated PXRD pattern of PuNbTl for CuKα, from a structure optimized by DFT (GGA-PBE).

Peak list (6 most intense, 2θ = 15–90°, in order of rising 2θ)
2θ = 20.6°, 4.311 Å, I = 31.5, hkl 0 0 3
2θ = 28.9°, 3.090 Å, I = 43.4, hkl 1 1 -1
2θ = 30.4°, 2.942 Å, I = 35.2, hkl 1 1 1
2θ = 33.0°, 2.713 Å, I = 47.6, hkl 2 0 -1
2θ = 37.5°, 2.397 Å, I = 48.2, hkl 1 1 3
2θ = 38.0°, 2.367 Å, I = 100.0, hkl 1 1 -4

Crystal structure
```
data_PuNbTl
_chemical_formula_sum 'Pu4 Nb4 Tl4'
_space_group_name_H-M_alt 'C 1 2/m 1'
_space_group_IT_number 12
_cell_length_a 5.427
_cell_length_b 3.806
_cell_length_c 13.157
_cell_angle_alpha 90.00
_cell_angle_beta 100.59
_cell_angle_gamma 90.00
loop_
_space_group_symop_operation_xyz
'x,y,z'
'-x,-y,-z'
'-x,y,-z'
'x,-y,z'
'x+1/2,y+1/2,z'
'-x+1/2,-y+1/2,-z'
'-x+1/2,y+1/2,-z'
'x+1/2,-y+1/2,z'
loop_
_atom_site_label
_atom_site_type_symbol
_atom_site_fract_x
_atom_site_fract_y
_atom_site_fract_z
_atom_site_occupancy
Pu1 Pu 0.205 0.000 0.047 1
Nb1 Nb 0.182 0.000 0.793 1
Tl1 Tl 0.019 0.500 0.615 1
```

=====

Simulated PXRD pattern of Rb8NbS6 for CuKα, from a structure optimized by DFT (GGA-PBE).

Peak list (6 most intense, 2θ = 15–90°, in order of rising 2θ)
2θ = 19.9°, 4.459 Å, I = 52.7, hkl 0 2 1
2θ = 23.4°, 3.808 Å, I = 100.0, hkl 2 0 2
2θ = 26.7°, 3.344 Å, I = 64.4, hkl 0 1 4
2θ = 32.0°, 2.800 Å, I = 48.5, hkl 2 0 4
2θ = 32.8°, 2.734 Å, I = 34.1, hkl 0 1 5
2θ = 33.4°, 2.684 Å, I = 83.8, hkl 2 1 4

Crystal structure
```
data_Rb8NbS6
_chemical_formula_sum 'Rb16 Nb2 S12'
_space_group_name_H-M_alt 'P m n 21'
_space_group_IT_number 31
_cell_length_a 8.995
_cell_length_b 9.386
_cell_length_c 14.312
_cell_angle_alpha 90.00
_cell_angle_beta 90.00
_cell_angle_gamma 90.00
loop_
_space_group_symop_operation_xyz
'x,y,z'
'-x+1/2,-y,z+1/2'
'-x,y,z'
'x+1/2,-y,z+1/2'
loop_
_atom_site_label
_atom_site_type_symbol
_atom_site_fract_x
_atom_site_fract_y
_atom_site_fract_z
_atom_site_occupancy
Rb1 Rb 0.000 0.120 0.000 1
Rb2 Rb 0.000 0.164 0.436 1
Rb3 Rb 0.197 0.608 0.124 1
Rb4 Rb 0.222 0.911 0.747 1
Rb5 Rb 0.234 0.546 0.853 1
Nb1 Nb 0.000 0.746 0.449 1
S1 S 0.000 0.316 0.215 1
S2 S 0.000 0.508 0.510 1
S3 S 0.000 0.766 0.949 1
S4 S 0.000 0.905 0.574 1
S5 S 0.209 0.789 0.354 1
```

=====

Simulated PXRD pattern of RbNb2S4 for CuKα, from a structure optimized by DFT (GGA-PBE).

Peak list (6 most intense, 2θ = 15–90°, in order of rising 2θ)
2θ = 25.4°, 3.507 Å, I = 100.0, hkl 0 2 3
2θ = 28.6°, 3.117 Å, I = 54.3, hkl 0 4 0
2θ = 33.0°, 2.714 Å, I = 77.5, hkl 1 3 1
2θ = 35.2°, 2.546 Å, I = 44.4, hkl 1 3 2
2θ = 43.6°, 2.075 Å, I = 40.4, hkl 1 1 5
2θ = 48.5°, 1.877 Å, I = 39.0, hkl 1 3 5

Crystal structure
```
data_RbNb2S4
_chemical_formula_sum 'Rb4 Nb8 S16'
_space_group_name_H-M_alt 'C m c m'
_space_group_IT_number 63
_space_group_name_Hall '-C 2c 2'
_cell_length_a 3.740
_cell_length_b 12.448
_cell_length_c 12.736
_cell_angle_alpha 90.00
_cell_angle_beta 90.00
_cell_angle_gamma 90.00
loop_
_atom_site_label
_atom_site_type_symbol
_atom_site_fract_x
_atom_site_fract_y
_atom_site_fract_z
_atom_site_occupancy
Rb1 Rb 0.000 0.116 0.250 1
Nb1 Nb 0.000 0.382 0.064 1
S1 S 0.000 0.000 0.000 1
S2 S 0.000 0.258 0.595 1
S3 S 0.000 0.414 0.250 1
```

=====

Simulated PXRD pattern of Rb2NbS4 for CuKα, from a structure optimized by DFT (GGA-PBE).

Peak list (6 most intense, 2θ = 15–90°, in order of rising 2θ)
2θ = 15.1°, 5.862 Å, I = 100.0, hkl 1 1 1
2θ = 22.9°, 3.885 Å, I = 41.3, hkl 2 2 0
2θ = 27.1°, 3.293 Å, I = 52.8, hkl 2 0 2
2θ = 27.7°, 3.216 Å, I = 24.3, hkl 0 4 0
2θ = 30.5°, 2.931 Å, I = 41.2, hkl 2 2 2
2θ = 34.4°, 2.610 Å, I = 26.3, hkl 0 4 2

Crystal structure
```
data_Rb2NbS4
_chemical_formula_sum 'Rb8 Nb4 S16'
_space_group_name_H-M_alt 'F m m 2'
_space_group_IT_number 42
_space_group_name_Hall 'F 2 -2'
_cell_length_a 9.748
_cell_length_b 12.866
_cell_length_c 8.932
_cell_angle_alpha 90.00
_cell_angle_beta 90.00
_cell_angle_gamma 90.00
loop_
_atom_site_label
_atom_site_type_symbol
_atom_site_fract_x
_atom_site_fract_y
_atom_site_fract_z
_atom_site_occupancy
Rb1 Rb 0.250 0.250 0.000 1
Nb1 Nb 0.000 0.000 0.378 1
S1 S 0.000 0.154 0.249 1
S2 S 0.168 0.000 0.557 1
```

=====

Simulated PXRD pattern of Rb2SrNbS4 for CuKα, from a structure optimized by DFT (GGA-PBE).

Peak list (6 most intense, 2θ = 15–90°, in order of rising 2θ)
2θ = 23.2°, 3.837 Å, I = 28.2, hkl 2 0 0
2θ = 25.0°, 3.562 Å, I = 100.0, hkl 1 1 2
2θ = 33.0°, 2.713 Å, I = 30.0, hkl 2 2 0
2θ = 41.9°, 2.158 Å, I = 44.3, hkl 1 3 2
2θ = 45.1°, 2.011 Å, I = 27.7, hkl 2 0 4
2θ = 65.0°, 1.434 Å, I = 12.3, hkl 5 1 2

Crystal structure
```
data_Rb2SrNbS4
_chemical_formula_sum 'Rb4 Sr2 Nb2 S8'
_space_group_name_H-M_alt 'I -4'
_space_group_IT_number 82
_cell_length_a 7.675
_cell_length_b 7.675
_cell_length_c 9.443
_cell_angle_alpha 90.00
_cell_angle_beta 90.00
_cell_angle_gamma 90.00
loop_
_space_group_symop_operation_xyz
'x,y,z'
'y,-x,-z'
'-x,-y,z'
'-y,x,-z'
'x+1/2,y+1/2,z+1/2'
'y+1/2,-x+1/2,-z+1/2'
'-x+1/2,-y+1/2,z+1/2'
'-y+1/2,x+1/2,-z+1/2'
loop_
_atom_site_label
_atom_site_type_symbol
_atom_site_fract_x
_atom_site_fract_y
_atom_site_fract_z
_atom_site_occupancy
Rb1 Rb 0.000 0.000 0.000 1
Rb2 Rb 0.000 0.500 0.250 1
Sr1 Sr 0.000 0.000 0.500 1
Nb1 Nb 0.000 0.500 0.750 1
S1 S 0.170 0.710 0.631 1
```

=====

Simulated PXRD pattern of RbNbTcS3 for CuKα, from a structure optimized by DFT (GGA-PBE).

Peak list (6 most intense, 2θ = 15–90°, in order of rising 2θ)
2θ = 22.9°, 3.892 Å, I = 89.8, hkl 2 0 -2
2θ = 32.4°, 2.761 Å, I = 100.0, hkl 2 1 -1
2θ = 33.8°, 2.649 Å, I = 67.5, hkl 2 1 0
2θ = 38.2°, 2.358 Å, I = 45.6, hkl 2 1 1
2θ = 40.0°, 2.253 Å, I = 59.3, hkl 0 1 3
2θ = 45.6°, 1.988 Å, I = 65.0, hkl 2 1 -4

Crystal structure
```
data_RbNbTcS3
_chemical_formula_sum 'Rb2 Nb2 Tc2 S6'
_space_group_name_H-M_alt 'P 1 21/m 1'
_space_group_IT_number 11
_cell_length_a 8.825
_cell_length_b 3.542
_cell_length_c 9.697
_cell_angle_alpha 90.00
_cell_angle_beta 115.26
_cell_angle_gamma 90.00
loop_
_space_group_symop_operation_xyz
'x,y,z'
'-x,-y,-z'
'-x,y+1/2,-z'
'x,-y+1/2,z'
loop_
_atom_site_label
_atom_site_type_symbol
_atom_site_fract_x
_atom_site_fract_y
_atom_site_fract_z
_atom_site_occupancy
Rb1 Rb 0.233 0.250 0.245 1
Nb1 Nb 0.308 0.750 0.836 1
Tc1 Tc 0.088 0.250 0.610 1
S1 S 0.122 0.250 0.866 1
S2 S 0.221 0.750 0.548 1
S3 S 0.467 0.750 0.131 1
```

=====

Simulated PXRD pattern of Rb3Y3NbS8 for CuKα, from a structure optimized by DFT (GGA-PBE).

Peak list (6 most intense, 2θ = 15–90°, in order of rising 2θ)
2θ = 22.7°, 3.924 Å, I = 18.1, hkl 0 0 6
2θ = 27.1°, 3.285 Å, I = 24.5, hkl 2 0 2
2θ = 30.2°, 2.958 Å, I = 100.0, hkl 0 2 4
2θ = 40.4°, 2.231 Å, I = 34.5, hkl 2 0 8
2θ = 45.9°, 1.975 Å, I = 32.2, hkl 2 2 0
2θ = 56.0°, 1.643 Å, I = 15.6, hkl 4 0 4

Crystal structure
```
data_Rb3Y3NbS8
_chemical_formula_sum 'Rb9 Y9 Nb3 S24'
_space_group_name_H-M_alt 'R -3 m'
_space_group_IT_number 166
_space_group_name_Hall '-R 3 2"'
_cell_length_a 7.9011
_cell_length_b 7.9011
_cell_length_c 23.5429
_cell_angle_alpha 90.00
_cell_angle_beta 90.00
_cell_angle_gamma 120.00
loop_
_atom_site_label
_atom_site_type_symbol
_atom_site_fract_x
_atom_site_fract_y
_atom_site_fract_z
_atom_site_occupancy
Rb1 Rb 0.0000 0.5000 0.0000 1
Y1 Y 0.0000 0.5000 0.5000 1
Nb1 Nb 0.0000 0.0000 0.5000 1
S1 S 0.0000 0.0000 0.2310 1
S2 S 0.0226 0.5113 0.2276 1
```